Entry 1:
Simulated powder XRD pattern of Sm4PbSe2S for CuKα, from a cell relaxed with GGA-PBE.
Peak positions follow from Bragg's law for the DFT cell and can differ from measured ones.

Crystal structure
```
8
Lattice="7.3421 0.0000 0.0000 0.0000 4.2346 0.0000 -2.4534 0.0000 6.9212" Properties=species:S:1:pos:R:3 pbc="T T T"
Sm 1.2108 0.0000 1.6254
Sm 0.0026 2.1173 5.2966
Sm 4.8861 2.1173 1.6246
Sm 3.6779 0.0000 5.2958
Pb -1.2267 0.0000 3.4606
Se 3.6710 0.0000 0.0000
Se 2.4444 2.1173 3.4606
S 0.0000 2.1173 0.0000
```

Largest 10 diffraction maxima, by angle, 15° ≤ 2θ ≤ 90°:
21.0 deg, I 4.4; 24.6 deg, I 6.7; 25.8 deg, I 7.6; 29.8 deg, I 100.0; 32.6 deg, I 6.2; 42.7 deg, I 74.6; 52.9 deg, I 26.2; 61.9 deg, I 12.1; 70.2 deg, I 33.1; 78.1 deg, I 24.5

***

Entry 2:
Simulated powder XRD pattern of La3CN for CuKα, from a cell relaxed with GGA-PBE.
Peak positions follow from Bragg's law for the DFT cell and can differ from measured ones.

Crystal structure
```
10
Lattice="3.1491 -6.1744 0.0000 3.1491 6.1744 0.0000 -2.0542 0.0000 6.3863" Properties=species:S:1:pos:R:3 pbc="T T T"
La 0.0669 2.0892 4.9687
La 0.9323 0.0000 1.7317
La 0.0669 -2.0892 4.9687
La 4.1771 2.0892 1.4177
La 3.3118 0.0000 4.6546
La 4.1771 -2.0892 1.4177
C 3.1491 4.2674 0.0000
C 3.1491 -4.2674 0.0000
N 0.9569 0.0000 4.3683
N 3.2871 0.0000 2.0180
```

Largest 10 diffraction maxima, by angle, 15° ≤ 2θ ≤ 90°:
27.5 deg, I 100.0; 27.9 deg, I 47.7; 29.8 deg, I 41.5; 31.9 deg, I 71.2; 34.2 deg, I 29.1; 44.0 deg, I 17.2; 46.2 deg, I 24.6; 48.7 deg, I 24.1; 52.9 deg, I 16.1; 56.9 deg, I 25.6